1.
Diffraction record for Ti20Ge9Sb3. The powder diffraction line list is simulated, not measured: it uses the GGA-PBE geometry in Alexandria and CuKα.
Kinematic intensities with the Lorentz-polarization factor, no thermal factor.

Crystal structure
```
Ti20Ge9Sb3
1.0
7.6575 0.0000 0.0000
0.0000 5.2652 0.0000
-0.0546 0.0000 13.4273
Ti Ge Sb
20 9 3
Direct
0.0000 0.0000 0.0000
0.0083 0.0000 0.7462
0.1320 0.5000 0.8778
0.1521 0.0000 0.3845
0.2584 0.5000 0.5082
0.2601 0.5000 0.2533
0.3920 0.2533 0.7073
0.3920 0.7467 0.7073
0.3930 0.2563 0.0436
0.3930 0.7437 0.0436
0.5071 0.0000 0.5104
0.5190 0.0000 0.2460
0.6266 0.5000 0.3775
0.6535 0.0000 0.8771
0.7567 0.5000 0.0070
0.7616 0.5000 0.7493
0.8802 0.2562 0.2089
0.8802 0.7438 0.2089
0.8906 0.2531 0.5495
0.8906 0.7469 0.5495
0.0801 0.5000 0.0704
0.0840 0.5000 0.6854
0.1920 0.0000 0.5753
0.5026 0.5000 0.8757
0.5775 0.5000 0.1843
0.5830 0.5000 0.5708
0.6909 0.0000 0.0710
0.6925 0.0000 0.6834
0.9986 0.5000 0.3793
0.1889 0.0000 0.1818
0.2796 0.0000 0.8760
0.7793 0.0000 0.3804
```

Most intense lines, 5° ≤ 2θ ≤ 70°, by intensity:
- d = 2.176 Å, I = 100
- d = 2.264 Å, I = 69
- d = 2.633 Å, I = 60
- d = 2.283 Å, I = 51
- d = 2.169 Å, I = 44
- d = 2.238 Å, I = 43
- d = 2.272 Å, I = 41
- d = 3.115 Å, I = 39
- d = 2.221 Å, I = 37
- d = 2.280 Å, I = 34

***

2.
Diffraction record for Tm4GeSb2. The powder diffraction line list is simulated, not measured: it uses the GGA-PBE geometry in Alexandria and CuKα.
Kinematic intensities with the Lorentz-polarization factor, no thermal factor.

Crystal structure
```
Tm4GeSb2
1.0
6.4942 0.0000 0.0000
0.0000 6.4464 0.0000
-2.7068 0.0000 9.0292
Tm Ge Sb
8 2 4
Direct
0.0138 0.0021 0.2596
0.0138 0.4979 0.2596
0.3653 0.7500 0.0421
0.4427 0.7500 0.6502
0.5573 0.2500 0.3498
0.6347 0.2500 0.9579
0.9862 0.5021 0.7404
0.9862 0.9979 0.7404
0.3747 0.7500 0.3392
0.6253 0.2500 0.6608
0.1927 0.2500 0.5447
0.2006 0.2500 0.0338
0.7994 0.7500 0.9662
0.8073 0.7500 0.4553
```

Most intense lines, 5° ≤ 2θ ≤ 70°, by intensity:
- d = 2.862 Å, I = 100
- d = 2.623 Å, I = 88
- d = 2.801 Å, I = 72
- d = 2.576 Å, I = 71
- d = 2.994 Å, I = 63
- d = 2.349 Å, I = 54
- d = 2.715 Å, I = 46
- d = 3.238 Å, I = 46
- d = 2.894 Å, I = 35
- d = 3.010 Å, I = 32

***

3.
Diffraction record for ScGe. The powder diffraction line list is simulated, not measured: it uses the GGA-PBE geometry in Alexandria and CuKα.
Kinematic intensities with the Lorentz-polarization factor, no thermal factor.

Crystal structure
```
ScGe
1.0
2.0082 -5.0605 0.0000
2.0082 5.0605 0.0000
0.0000 0.0000 3.7970
Sc Ge
2 2
Direct
0.1361 0.8639 0.7500
0.8639 0.1361 0.2500
0.4098 0.5902 0.7500
0.5902 0.4098 0.2500
```

Most intense lines, 5° ≤ 2θ ≤ 70°, by intensity:
- d = 2.662 Å, I = 100
- d = 2.136 Å, I = 93
- d = 2.530 Å, I = 33
- d = 2.008 Å, I = 28
- d = 3.733 Å, I = 25
- d = 1.899 Å, I = 23
- d = 2.106 Å, I = 22
- d = 1.380 Å, I = 15
- d = 5.061 Å, I = 15
- d = 1.573 Å, I = 14

***

4.
Diffraction record for Sc5GeSe5. The powder diffraction line list is simulated, not measured: it uses the GGA-PBE geometry in Alexandria and CuKα.
Kinematic intensities with the Lorentz-polarization factor, no thermal factor.

Crystal structure
```
Sc5GeSe5
1.0
6.1171 -2.7335 0.0000
6.1171 2.7335 0.0000
-2.4242 0.0000 7.3156
Sc Ge Se
5 1 5
Direct
0.0000 0.0000 0.0000
0.3379 0.3379 0.6690
0.3395 0.3395 0.1707
0.6605 0.6605 0.8293
0.6621 0.6621 0.3310
0.5000 0.5000 0.0000
0.1683 0.1683 0.3349
0.1689 0.1689 0.8351
0.5000 0.5000 0.5000
0.8311 0.8311 0.1649
0.8317 0.8317 0.6651
```

Most intense lines, 5° ≤ 2θ ≤ 70°, by intensity:
- d = 2.732 Å, I = 100
- d = 1.933 Å, I = 58
- d = 3.154 Å, I = 25
- d = 1.575 Å, I = 12
- d = 1.580 Å, I = 12
- d = 1.927 Å, I = 12
- d = 1.366 Å, I = 11
- d = 1.649 Å, I = 8
- d = 1.645 Å, I = 4
- d = 4.946 Å, I = 2

***

5.
Diffraction record for ScTlGeSe4. The powder diffraction line list is simulated, not measured: it uses the GGA-PBE geometry in Alexandria and CuKα.
Kinematic intensities with the Lorentz-polarization factor, no thermal factor.

Crystal structure
```
ScTlGeSe4
1.0
6.5644 0.0000 0.0000
0.0000 7.0012 0.0000
-2.7099 0.0000 8.5048
Sc Tl Ge Se
2 2 2 8
Direct
0.2202 0.2500 0.0510
0.7798 0.7500 0.9490
0.2309 0.2500 0.5552
0.7691 0.7500 0.4448
0.2349 0.7500 0.8362
0.7651 0.2500 0.1638
0.0151 0.5087 0.2017
0.0151 0.9913 0.2017
0.4484 0.7500 0.6679
0.4730 0.7500 0.0930
0.5270 0.2500 0.9070
0.5516 0.2500 0.3321
0.9849 0.0087 0.7983
0.9849 0.4913 0.7983
```

Most intense lines, 5° ≤ 2θ ≤ 70°, by intensity:
- d = 2.838 Å, I = 100
- d = 2.749 Å, I = 80
- d = 3.055 Å, I = 52
- d = 3.748 Å, I = 51
- d = 3.501 Å, I = 51
- d = 2.703 Å, I = 42
- d = 2.677 Å, I = 41
- d = 4.547 Å, I = 41
- d = 3.021 Å, I = 37
- d = 2.332 Å, I = 36

***

6.
Diffraction record for Sc6TlGe2Se3. The powder diffraction line list is simulated, not measured: it uses the GGA-PBE geometry in Alexandria and CuKα.
Kinematic intensities with the Lorentz-polarization factor, no thermal factor.

Crystal structure
```
Sc6TlGe2Se3
1.0
8.7381 -1.9472 0.0000
8.7381 1.9472 0.0000
-2.4685 0.0000 7.6162
Sc Tl Ge Se
6 1 2 3
Direct
0.0020 0.0020 0.2305
0.3262 0.3262 0.4136
0.3277 0.3277 0.9327
0.6723 0.6723 0.0673
0.6738 0.6738 0.5864
0.9980 0.9980 0.7695
0.5000 0.5000 0.5000
0.1621 0.1621 0.8199
0.8379 0.8379 0.1801
0.1664 0.1664 0.3244
0.5000 0.5000 0.0000
0.8336 0.8336 0.6756
```

Most intense lines, 5° ≤ 2θ ≤ 70°, by intensity:
- d = 2.787 Å, I = 100
- d = 2.771 Å, I = 52
- d = 2.024 Å, I = 38
- d = 1.910 Å, I = 32
- d = 3.186 Å, I = 20
- d = 1.593 Å, I = 18
- d = 1.995 Å, I = 18
- d = 1.947 Å, I = 17
- d = 1.687 Å, I = 13
- d = 3.373 Å, I = 12

***

7.
Diffraction record for Sc5Si2Ge. The powder diffraction line list is simulated, not measured: it uses the GGA-PBE geometry in Alexandria and CuKα.
Kinematic intensities with the Lorentz-polarization factor, no thermal factor.

Crystal structure
```
Sc5Si2Ge
1.0
-3.5500 3.5500 6.2762
3.5500 -3.5500 6.2762
3.5500 3.5500 -6.2762
Sc Si Ge
10 4 2
Direct
0.0000 0.0000 0.0000
0.0216 0.5216 0.8329
0.1886 0.0216 0.5000
0.3114 0.8114 0.8329
0.4784 0.3114 0.5000
0.5000 0.5000 0.0000
0.5216 0.6886 0.5000
0.6886 0.1886 0.1671
0.8114 0.9784 0.5000
0.9784 0.4784 0.1671
0.1296 0.3704 0.5000
0.3704 0.8704 0.2409
0.6296 0.1296 0.7591
0.8704 0.6296 0.5000
0.2500 0.2500 0.0000
0.7500 0.7500 0.0000
```

Most intense lines, 5° ≤ 2θ ≤ 70°, by intensity:
- d = 2.529 Å, I = 100
- d = 2.245 Å, I = 74
- d = 2.351 Å, I = 56
- d = 2.661 Å, I = 38
- d = 2.510 Å, I = 24
- d = 1.477 Å, I = 18
- d = 1.592 Å, I = 13
- d = 3.920 Å, I = 13
- d = 1.588 Å, I = 12
- d = 5.020 Å, I = 11

***

8.
Diffraction record for Sm2ScGe. The powder diffraction line list is simulated, not measured: it uses the GGA-PBE geometry in Alexandria and CuKα.
Kinematic intensities with the Lorentz-polarization factor, no thermal factor.

Crystal structure
```
Sm2ScGe
1.0
4.6475 0.0000 0.0000
0.0000 4.6475 0.0000
0.0000 0.0000 4.6040
Sm Sc Ge
2 1 1
Direct
0.0000 0.5000 0.0000
0.5000 0.0000 0.0000
0.0000 0.0000 0.5000
0.5000 0.5000 0.5000
```

Most intense lines, 5° ≤ 2θ ≤ 70°, by intensity:
- d = 2.675 Å, I = 100
- d = 2.324 Å, I = 33
- d = 1.400 Å, I = 26
- d = 1.635 Å, I = 22
- d = 4.604 Å, I = 17
- d = 2.302 Å, I = 16
- d = 3.286 Å, I = 15
- d = 1.391 Å, I = 13
- d = 1.643 Å, I = 11
- d = 2.075 Å, I = 9